No. 1
Structure and simulated X-ray powder pattern of Nd5HoEr2Th (a DFT-relaxed cell (GGA-PBE, Alexandria); Cu Kα X-rays).
Peak positions follow from Bragg's law for the DFT cell and can differ from measured ones.

Main lines, in order of rising 2θ (2θ from 10° to 80°):
| index | 2theta | I_rel |
| --- | --- | --- |
| 1 3 2 | 26.6 | 13.7 |
| 1 1 3 | 30.5 | 14.9 |
| 1 5 2 | 31.4 | 100.0 |
| 1 3 3 | 32.7 | 12.6 |
| 2 0 0 | 33.1 | 37.6 |
| 0 0 4 | 33.8 | 19.2 |
| 2 0 4 | 48.0 | 19.5 |
| 3 5 2 | 58.1 | 18.3 |

Structural model:
```
data_Nd5HoEr2Th
_chemical_formula_sum 'Nd20 Ho4 Er8 Th4'
_symmetry_space_group_name_H-M 'C m c m'
_symmetry_Int_Tables_number 63
_symmetry_space_group_name_Hall '-C 2c 2'
_cell_length_a 5.4125
_cell_length_b 21.6330
_cell_length_c 10.6073
_cell_angle_alpha 90.00
_cell_angle_beta 90.00
_cell_angle_gamma 90.00
loop_
_atom_site_label
_atom_site_fract_x
_atom_site_fract_y
_atom_site_fract_z
_atom_site_occupancy
Nd1 0.0000 0.0000 0.0000 1
Nd2 0.0000 0.1252 0.2500 1
Nd3 0.0000 0.2216 0.5568 1
Nd4 0.0000 0.4981 0.7500 1
Ho1 0.0000 0.1016 0.7500 1
Er1 0.0000 0.3870 0.0031 1
Th1 0.0000 0.2871 0.2500 1
```


No. 2
Structure and simulated X-ray powder pattern of BeTlZnIrBr (a DFT-relaxed cell (GGA-PBE, Alexandria); Cu Kα X-rays).
Peak positions follow from Bragg's law for the DFT cell and can differ from measured ones.

Main lines, in order of rising 2θ (2θ from 10° to 80°):
| index | 2theta | I_rel |
| --- | --- | --- |
| 0 0 2 | 10.4 | 98.0 |
| 0 1 1 | 21.8 | 77.9 |
| 0 0 6 | 31.4 | 43.1 |
| 1 0 3 | 32.7 | 55.5 |
| 0 1 5 | 33.8 | 30.8 |
| 1 1 2 | 37.4 | 100.0 |
| 1 1 4 | 41.8 | 56.6 |
| 0 2 0 | 43.1 | 27.8 |

Structural model:
```
data_BeTlZnIrBr
_chemical_formula_sum 'Be2 Tl2 Zn2 Ir2 Br2'
_symmetry_space_group_name_H-M 'I m m 2'
_symmetry_Int_Tables_number 44
_cell_length_a 3.1288
_cell_length_b 4.1970
_cell_length_c 17.0705
_cell_angle_alpha 90.00
_cell_angle_beta 90.00
_cell_angle_gamma 90.00
loop_
_symmetry_equiv_pos_as_xyz
'x,y,z'
'-x,-y,z'
'-x,y,z'
'x,-y,z'
'x+1/2,y+1/2,z+1/2'
'-x+1/2,-y+1/2,z+1/2'
'-x+1/2,y+1/2,z+1/2'
'x+1/2,-y+1/2,z+1/2'
loop_
_atom_site_label
_atom_site_fract_x
_atom_site_fract_y
_atom_site_fract_z
_atom_site_occupancy
Be1 0.0000 0.0000 0.0000 1
Tl1 0.0000 0.0000 0.2450 1
Zn1 0.0000 0.5000 0.0873 1
Ir1 0.0000 0.5000 0.5945 1
Br1 0.0000 0.0000 0.8782 1
```


No. 3
Structure and simulated X-ray powder pattern of K6Ag3Cl14 (a DFT-relaxed cell (GGA-PBE, Alexandria); Cu Kα X-rays).
Peak positions follow from Bragg's law for the DFT cell and can differ from measured ones.

Main lines, in order of rising 2θ (2θ from 10° to 80°):
| index | 2theta | I_rel |
| --- | --- | --- |
| 0 1 1 | 15.6 | 82.7 |
| 1 1 0 | 16.1 | 100.0 |
| 2 0 1 | 22.5 | 66.9 |
| 1 2 1 | 27.8 | 80.1 |
| 0 2 2 | 31.5 | 41.5 |
| 2 2 0 | 32.6 | 33.1 |
| 2 0 3 | 42.7 | 43.0 |
| 3 -2 3 | 45.9 | 36.6 |

Structural model:
```
data_K6Ag3Cl14
_chemical_formula_sum 'K6 Ag3 Cl14'
_symmetry_space_group_name_H-M 'P 3'
_symmetry_Int_Tables_number 143
_cell_length_a 10.9907
_cell_length_b 10.9907
_cell_length_c 7.0930
_cell_angle_alpha 90.00
_cell_angle_beta 90.00
_cell_angle_gamma 120.00
loop_
_symmetry_equiv_pos_as_xyz
'x,y,z'
'-y,x-y,z'
'-x+y,-x,z'
loop_
_atom_site_label
_atom_site_fract_x
_atom_site_fract_y
_atom_site_fract_z
_atom_site_occupancy
K1 0.0354 0.4681 0.0000 1
K2 0.2823 0.2034 0.4955 1
Ag1 0.0000 0.0000 0.0531 1
Ag2 0.3333 0.6667 0.5578 1
Ag3 0.6667 0.3333 0.6725 1
Cl1 0.0000 0.0000 0.7076 1
Cl2 0.0661 0.2253 0.2176 1
Cl3 0.1915 0.7479 0.7302 1
Cl4 0.3333 0.6667 0.2132 1
Cl5 0.4552 0.2555 0.8787 1
Cl6 0.5268 0.1207 0.4721 1
```